# 1
Diffraction record for AcTbNd. The powder diffraction line list is calculated, not measured: it uses DFT lattice parameters and positions (GGA-PBE) and Cu Kα (weighted mean of Kα1 and Kα2).

Largest 10 diffraction maxima, in order of rising 2θ, 15° ≤ 2θ ≤ 90°:
two_theta, Rel. int.
30.1, 100
39.2, 11
43.1, 17
53.4, 30
59.6, 19
62.5, 7
70.9, 8
76.3, 8
84.2, 6
86.7, 11

Cell lengths 5.9442, 5.9442, 3.6332 Å; angles 90.00, 90.00, 120.00 degrees
Fractional positions:
Ac  0.0000  0.0000  0.0000
Tb  0.3333  0.6667  0.0000
Nd  0.6667  0.3333  0.5000

***

# 2
Diffraction record for TaBe2Hg. The powder diffraction line list is calculated, not measured: it uses DFT lattice parameters and positions (GGA-PBE) and Cu Kα (weighted mean of Kα1 and Kα2).

Largest 10 diffraction maxima, in order of rising 2θ, 15° ≤ 2θ ≤ 90°:
two_theta, Rel. int.
26.1, 70
30.9, 93
40.9, 100
44.2, 40
52.1, 44
63.3, 25
70.7, 18
72.1, 19
73.0, 16
79.1, 30

Cell lengths 2.8970, 2.8970, 6.8181 Å; angles 90.00, 90.00, 90.00 degrees
Fractional positions:
Ta  0.0000  0.0000  0.0000
Be  0.5000  0.5000  0.2470
Be  0.5000  0.5000  0.7530
Hg  0.0000  0.0000  0.5000

***

# 3
Diffraction record for Pm3Nd5Tm3. The powder diffraction line list is calculated, not measured: it uses DFT lattice parameters and positions (GGA-PBE) and Cu Kα (weighted mean of Kα1 and Kα2).

Largest 10 diffraction maxima, in order of rising 2θ, 15° ≤ 2θ ≤ 90°:
two_theta, Rel. int.
23.9, 38
27.2, 98
30.2, 86
31.5, 58
32.8, 100
35.4, 74
41.1, 84
48.1, 53
56.1, 32
62.7, 42

Cell lengths 11.3551, 11.3551, 3.4650 Å; angles 90.00, 90.00, 120.00 degrees
Fractional positions:
Pm  0.0000  0.4028  0.0000
Pm  0.4028  0.0000  0.0000
Pm  0.5972  0.5972  0.0000
Nd  0.0000  0.6634  0.5000
Nd  0.3333  0.6667  0.5000
Nd  0.3366  0.3366  0.5000
Nd  0.6634  0.0000  0.5000
Nd  0.6667  0.3333  0.5000
Tm  0.0000  0.1588  0.5000
Tm  0.1588  0.0000  0.5000
Tm  0.8412  0.8412  0.5000

***

# 4
Diffraction record for Cs4SrSn3Se9. The powder diffraction line list is calculated, not measured: it uses DFT lattice parameters and positions (GGA-PBE) and Cu Kα (weighted mean of Kα1 and Kα2).

Largest 10 diffraction maxima, in order of rising 2θ, 15° ≤ 2θ ≤ 90°:
two_theta, Rel. int.
22.6, 17
23.9, 20
25.6, 15
26.5, 100
27.0, 33
30.8, 45
39.9, 11
43.8, 37
44.5, 36
52.2, 18

Cell lengths 9.2239, 9.2239, 9.2239 Å; angles 107.91, 107.91, 107.91 degrees
Fractional positions:
Cs  0.0000  0.0000  0.0000
Cs  0.3255  0.7567  0.8677
Cs  0.7567  0.8677  0.3255
Cs  0.8677  0.3255  0.7567
Sr  0.4561  0.4561  0.4561
Sn  0.3435  0.9274  0.4712
Sn  0.4712  0.3435  0.9274
Sn  0.9274  0.4712  0.3435
Se  0.0577  0.6769  0.2250
Se  0.0915  0.3202  0.4470
Se  0.2250  0.0577  0.6769
Se  0.3202  0.4470  0.0915
Se  0.4470  0.0915  0.3202
Se  0.5662  0.8521  0.6237
Se  0.6237  0.5662  0.8521
Se  0.6769  0.2250  0.0577
Se  0.8521  0.6237  0.5662

***

# 5
Diffraction record for Dy2Al3Au5. The powder diffraction line list is calculated, not measured: it uses DFT lattice parameters and positions (GGA-PBE) and Cu Kα (weighted mean of Kα1 and Kα2).

Largest 10 diffraction maxima, in order of rising 2θ, 15° ≤ 2θ ≤ 90°:
two_theta, Rel. int.
25.9, 22
29.7, 17
34.1, 100
34.7, 60
38.4, 23
40.2, 44
41.0, 25
46.5, 17
58.8, 23
69.2, 19

Cell lengths 12.5828, 12.5828, 7.0585 Å; angles 90.00, 90.00, 159.48 degrees
Fractional positions:
Dy  0.0187  0.9813  0.5000
Dy  0.3230  0.6770  0.4953
Dy  0.6770  0.3230  0.9953
Dy  0.9813  0.0187  0.0000
Al  0.1027  0.8973  0.8199
Al  0.2755  0.7245  0.9685
Al  0.4462  0.5538  0.6907
Al  0.5538  0.4462  0.1907
Al  0.7245  0.2755  0.4685
Al  0.8973  0.1027  0.3199
Au  0.1057  0.8943  0.1947
Au  0.1994  0.8006  0.6844
Au  0.2173  0.7827  0.2683
Au  0.3811  0.6189  0.9931
Au  0.4527  0.5473  0.3081
Au  0.5473  0.4527  0.8081
Au  0.6189  0.3811  0.4931
Au  0.7827  0.2173  0.7683
Au  0.8006  0.1994  0.1844
Au  0.8943  0.1057  0.6947